Structure and simulated XRD peak list of Ac6In2Si (a crystal structure in Alexandria, relaxed with GGA-PBE; Cu Kα).

Crystal structure
```
Ac6In2Si
1.0
6.802 0.000 0.000
0.000 9.452 0.000
-6.782 0.000 10.885
Ac In Si
12 4 2
direct
0.064 0.167 0.442
0.064 0.333 0.942
0.323 0.686 0.441
0.323 0.814 0.941
0.335 0.035 0.229
0.335 0.465 0.729
0.665 0.535 0.271
0.665 0.965 0.771
0.677 0.186 0.059
0.677 0.314 0.559
0.936 0.667 0.058
0.936 0.833 0.558
0.184 0.122 0.756
0.184 0.378 0.256
0.816 0.622 0.744
0.816 0.878 0.244
0.500 0.000 0.500
0.500 0.500 0.000
```

Largest 8 diffraction maxima, most intense first, 5° ≤ 2θ ≤ 70°:
(1 0 -4), 27.88 deg, rel. 1000
(1 1 2), 29.46 deg, rel. 876
(2 1 -1), 29.09 deg, rel. 806
(1 3 -1), 31.29 deg, rel. 798
(0 2 2), 24.95 deg, rel. 703
(1 2 -3), 28.24 deg, rel. 606
(1 1 1), 22.93 deg, rel. 503
(2 1 0), 32.40 deg, rel. 500